[1]
Structure and calculated powder diffractogram of TmSc4Se5 (a DFT-relaxed cell (PBE, Alexandria); a wavelength of 1.5418 Å).
Kinematic intensities with the Lorentz-polarization factor, no thermal factor.

Cell and atoms:
Cell: 16.038 16.038 16.038 Å, 14.01 14.01 14.01°
Atoms (fractional coordinates):
Tm (0.000, 0.000, 0.000)
Sc (0.200, 0.200, 0.200)
Sc (0.402, 0.402, 0.402)
Sc (0.598, 0.598, 0.598)
Sc (0.800, 0.800, 0.800)
Se (0.101, 0.101, 0.101)
Se (0.298, 0.298, 0.298)
Se (0.500, 0.500, 0.500)
Se (0.702, 0.702, 0.702)
Se (0.899, 0.899, 0.899)

The 10 most intense peaks (10° ≤ 2θ ≤ 90°), by intensity:
two_theta  Rel. int.
32.4  100
46.4  36
46.6  35
57.8  18
77.2  15
77.4  14
86.3  11
67.9  11
11.1  8
86.1  6

=====

[2]
Structure and calculated powder diffractogram of KAcSO5 (a DFT-relaxed cell (PBE, Alexandria); a wavelength of 1.5418 Å).
Kinematic intensities with the Lorentz-polarization factor, no thermal factor.

Cell and atoms:
Cell: 6.419 6.419 8.469 Å, 105.26 105.26 103.43°
Atoms (fractional coordinates):
K (0.164, 0.836, 0.750)
K (0.836, 0.164, 0.250)
Ac (0.500, 0.500, 0.000)
Ac (0.500, 0.500, 0.500)
S (0.175, 0.825, 0.250)
S (0.825, 0.175, 0.750)
O (0.061, 0.238, 0.875)
O (0.185, 0.662, 0.349)
O (0.238, 0.061, 0.375)
O (0.338, 0.815, 0.151)
O (0.412, 0.588, 0.750)
O (0.588, 0.412, 0.250)
O (0.662, 0.185, 0.849)
O (0.762, 0.939, 0.625)
O (0.815, 0.338, 0.651)
O (0.939, 0.762, 0.125)

The 10 most intense peaks (10° ≤ 2θ ≤ 90°), by intensity:
two_theta  Rel. int.
29.3  100
15.1  100
22.9  86
24.7  53
17.6  30
31.4  26
35.8  25
43.0  24
32.0  24
44.5  19

=====

[3]
Structure and calculated powder diffractogram of Ac2In6GaAg (a DFT-relaxed cell (PBE, Alexandria); a wavelength of 1.5418 Å).
Kinematic intensities with the Lorentz-polarization factor, no thermal factor.

Cell and atoms:
Cell: 13.299 13.299 13.299 Å, 31.70 31.70 31.70°
Atoms (fractional coordinates):
Ac (0.112, 0.112, 0.112)
Ac (0.289, 0.289, 0.289)
Ac (0.711, 0.711, 0.711)
Ac (0.888, 0.888, 0.888)
In (0.068, 0.662, 0.662)
In (0.227, 0.227, 0.663)
In (0.227, 0.663, 0.227)
In (0.337, 0.773, 0.773)
In (0.338, 0.338, 0.932)
In (0.338, 0.932, 0.338)
In (0.662, 0.068, 0.662)
In (0.662, 0.662, 0.068)
In (0.663, 0.227, 0.227)
In (0.773, 0.337, 0.773)
In (0.773, 0.773, 0.337)
In (0.932, 0.338, 0.338)
Ga (0.429, 0.429, 0.429)
Ga (0.571, 0.571, 0.571)
Ag (0.000, 0.000, 0.000)
Ag (0.500, 0.500, 0.500)

The 10 most intense peaks (10° ≤ 2θ ≤ 90°), by intensity:
two_theta  Rel. int.
30.8  100
32.9  90
24.5  49
28.3  44
50.2  43
27.5  39
37.2  34
50.2  33
58.6  18
39.7  17

=====

What did the second record say?
Structure and calculated powder diffractogram of KAcSO5 (a DFT-relaxed cell (PBE, Alexandria); a wavelength of 1.5418 Å).
Kinematic intensities with the Lorentz-polarization factor, no thermal factor.

Cell and atoms:
Cell: 6.419 6.419 8.469 Å, 105.26 105.26 103.43°
Atoms (fractional coordinates):
K (0.164, 0.836, 0.750)
K (0.836, 0.164, 0.250)
Ac (0.500, 0.500, 0.000)
Ac (0.500, 0.500, 0.500)
S (0.175, 0.825, 0.250)
S (0.825, 0.175, 0.750)
O (0.061, 0.238, 0.875)
O (0.185, 0.662, 0.349)
O (0.238, 0.061, 0.375)
O (0.338, 0.815, 0.151)
O (0.412, 0.588, 0.750)
O (0.588, 0.412, 0.250)
O (0.662, 0.185, 0.849)
O (0.762, 0.939, 0.625)
O (0.815, 0.338, 0.651)
O (0.939, 0.762, 0.125)

The 10 most intense peaks (10° ≤ 2θ ≤ 90°), by intensity:
two_theta  Rel. int.
29.3  100
15.1  100
22.9  86
24.7  53
17.6  30
31.4  26
35.8  25
43.0  24
32.0  24
44.5  19